Computed XRD peak list of PrYNb for copper Kα, from a PBE-relaxed structure.

Main lines, by angle (2θ = 10–90°):
6.790 Å, 2θ 13.04, I = 10
3.144 Å, 2θ 28.39, I = 42
2.792 Å, 2θ 32.06, I = 100
2.716 Å, 2θ 32.98, I = 21
2.508 Å, 2θ 35.80, I = 62
1.843 Å, 2θ 49.46, I = 27
1.774 Å, 2θ 51.53, I = 21
1.545 Å, 2θ 59.88, I = 10
1.531 Å, 2θ 60.46, I = 14
1.497 Å, 2θ 61.99, I = 29
1.485 Å, 2θ 62.55, I = 13
1.159 Å, 2θ 83.39, I = 11

Unit cell a=3.5472 b=3.5472 c=13.5793 alpha=90.00 beta=90.00 gamma=90.00
Fractional positions:
Pr  0.2500  0.2500  0.0991
Pr  0.7500  0.7500  0.9009
Y  0.2500  0.2500  0.6950
Y  0.7500  0.7500  0.3050
Nb  0.2500  0.2500  0.4544
Nb  0.7500  0.7500  0.5456

Computed XRD peak list of Nb2Pt13 for copper Kα, from a PBE-relaxed structure.

Main lines, by angle (2θ = 10–90°):
6.548 Å, 2θ 13.52, I = 50
6.010 Å, 2θ 14.74, I = 66
3.876 Å, 2θ 22.94, I = 26
3.116 Å, 2θ 28.65, I = 58
2.369 Å, 2θ 37.99, I = 55
2.289 Å, 2θ 39.37, I = 36
2.146 Å, 2θ 42.10, I = 100
2.097 Å, 2θ 43.13, I = 30
2.039 Å, 2θ 44.42, I = 55
2.003 Å, 2θ 45.27, I = 55
1.938 Å, 2θ 46.88, I = 34
1.292 Å, 2θ 73.26, I = 30

Unit cell a=7.7841 b=7.7841 c=7.7841 alpha=55.84 beta=55.84 gamma=55.84
Fractional positions:
Nb  0.2233  0.2233  0.2233
Nb  0.7767  0.7767  0.7767
Pt  0.0000  0.0000  0.0000
Pt  0.0240  0.0240  0.6340
Pt  0.0240  0.6340  0.0240
Pt  0.2381  0.2381  0.5967
Pt  0.2381  0.5967  0.2381
Pt  0.3660  0.9760  0.9760
Pt  0.4033  0.7619  0.7619
Pt  0.5967  0.2381  0.2381
Pt  0.6340  0.0240  0.0240
Pt  0.7619  0.4033  0.7619
Pt  0.7619  0.7619  0.4033
Pt  0.9760  0.3660  0.9760
Pt  0.9760  0.9760  0.3660